[1]
# Li3Mg
Theoretical PXRD pattern, a wavelength of 1.5418 Å. Input: a GGA-PBE-relaxed structure.
Lines closer than 0.1° are merged.

Atomic structure:
```
Li3Mg
1.0
6.127 0.000 0.000
-3.064 5.306 0.000
0.000 0.000 4.916
Li Mg
6 2
direct
0.164 0.328 0.250
0.164 0.836 0.250
0.328 0.164 0.750
0.672 0.836 0.250
0.836 0.164 0.750
0.836 0.672 0.750
0.333 0.667 0.750
0.667 0.333 0.250
```

The 8 most intense peaks (2θ = 10–80°), sorted by position:
16.7°, I = 34, hkl 1 0 0; 24.7°, I = 86, hkl 1 0 1; 29.1°, I = 37, hkl 1 1 0; 33.8°, I = 24, hkl 2 0 0; 36.6°, I = 26, hkl 0 0 2; 38.6°, I = 100, hkl 2 0 1; 49.1°, I = 23, hkl 2 1 1; 72.7°, I = 19, hkl 2 2 2

=====

[2]
# Li4Mg
Theoretical PXRD pattern, a wavelength of 1.5418 Å. Input: a GGA-PBE-relaxed structure.
Lines closer than 0.1° are merged.

Atomic structure:
```
Li4Mg
1.0
3.108 0.000 0.000
-1.554 2.691 0.000
0.000 0.000 37.111
Li Mg
12 3
direct
0.000 0.000 0.099
0.000 0.000 0.300
0.000 0.000 0.700
0.000 0.000 0.901
0.333 0.667 0.367
0.333 0.667 0.567
0.333 0.667 0.766
0.333 0.667 0.967
0.667 0.333 0.033
0.667 0.333 0.234
0.667 0.333 0.433
0.667 0.333 0.633
0.000 0.000 0.500
0.333 0.667 0.167
0.667 0.333 0.833
```

The 8 most intense peaks (2θ = 10–80°), sorted by position:
14.3°, I = 64, hkl 0 0 6; 21.6°, I = 25, hkl 0 0 9; 33.4°, I = 24, hkl 1 0 1; 33.6°, I = 23, hkl 0 1 2; 35.5°, I = 100, hkl 0 1 5; 36.3°, I = 31, hkl 0 0 15; 41.4°, I = 64, hkl 1 0 10; 71.7°, I = 24, hkl 1 1 15

=====

[3]
# LiMg
Theoretical PXRD pattern, a wavelength of 1.5418 Å. Input: a GGA-PBE-relaxed structure.
Lines closer than 0.1° are merged.

Atomic structure:
```
LiMg
1.0
3.151 0.000 0.000
-1.576 2.729 0.000
0.000 0.000 14.909
Li Mg
3 3
direct
0.000 0.000 0.000
0.000 0.000 0.335
0.667 0.333 0.834
0.000 0.000 0.669
0.667 0.333 0.168
0.667 0.333 0.499
```

The 8 most intense peaks (2θ = 10–80°), sorted by position:
11.9°, I = 54, hkl 0 0 2; 32.8°, I = 28, hkl 1 0 0; 33.4°, I = 23, hkl 0 1 1; 36.1°, I = 24, hkl 0 0 6; 37.6°, I = 100, hkl 1 0 3; 58.6°, I = 17, hkl 1 1 0; 66.0°, I = 18, hkl 1 0 9; 70.8°, I = 19, hkl 1 1 6